1.
This entry pairs a crystal structure of CaTmPt2 with its theoretical powder diffraction line list. Radiation: copper Kα. Structure: DFT lattice parameters and positions (GGA-PBE).
Kinematic intensities with the Lorentz-polarization factor, no thermal factor.

a b c (Å): 6.9223 6.9223 6.9223
angles (deg): 90.00 90.00 90.00
Sites, in units of the cell vectors:
Ca 0.0000 0.0000 0.0000
Ca 0.0000 0.5000 0.5000
Ca 0.5000 0.0000 0.5000
Ca 0.5000 0.5000 0.0000
Tm 0.0000 0.0000 0.5000
Tm 0.0000 0.5000 0.0000
Tm 0.5000 0.0000 0.0000
Tm 0.5000 0.5000 0.5000
Pt 0.2500 0.2500 0.2500
Pt 0.2500 0.2500 0.7500
Pt 0.2500 0.7500 0.2500
Pt 0.2500 0.7500 0.7500
Pt 0.7500 0.2500 0.2500
Pt 0.7500 0.2500 0.7500
Pt 0.7500 0.7500 0.2500
Pt 0.7500 0.7500 0.7500

Principal peaks in the range 10 to 90 degrees two-theta, sorted by position:
- 2θ 22.24, intensity 10
- 2θ 25.74, intensity 10
- 2θ 36.72, intensity 100
- 2θ 43.35, intensity 6
- 2θ 45.39, intensity 3
- 2θ 52.91, intensity 18
- 2θ 59.74, intensity 4
- 2θ 66.13, intensity 36
- 2θ 78.10, intensity 11
- 2θ 89.55, intensity 17



2.
This entry pairs a crystal structure of CaYPt2 with its theoretical powder diffraction line list. Radiation: copper Kα. Structure: DFT lattice parameters and positions (GGA-PBE).
Kinematic intensities with the Lorentz-polarization factor, no thermal factor.

a b c (Å): 6.9836 6.9836 6.9836
angles (deg): 90.00 90.00 90.00
Sites, in units of the cell vectors:
Ca 0.0000 0.0000 0.0000
Ca 0.0000 0.5000 0.5000
Ca 0.5000 0.0000 0.5000
Ca 0.5000 0.5000 0.0000
Y 0.0000 0.0000 0.5000
Y 0.0000 0.5000 0.0000
Y 0.5000 0.0000 0.0000
Y 0.5000 0.5000 0.5000
Pt 0.2500 0.2500 0.2500
Pt 0.2500 0.2500 0.7500
Pt 0.2500 0.7500 0.2500
Pt 0.2500 0.7500 0.7500
Pt 0.7500 0.2500 0.2500
Pt 0.7500 0.2500 0.7500
Pt 0.7500 0.7500 0.2500
Pt 0.7500 0.7500 0.7500

Principal peaks in the range 10 to 90 degrees two-theta, sorted by position:
- 2θ 22.05, intensity 2
- 2θ 25.51, intensity 29
- 2θ 36.39, intensity 100
- 2θ 44.97, intensity 9
- 2θ 52.41, intensity 18
- 2θ 59.17, intensity 12
- 2θ 65.48, intensity 36
- 2θ 77.29, intensity 11
- 2θ 82.96, intensity 6
- 2θ 88.56, intensity 16



3.
This entry pairs a crystal structure of RbCa3 with its theoretical powder diffraction line list. Radiation: copper Kα. Structure: DFT lattice parameters and positions (GGA-PBE).
Kinematic intensities with the Lorentz-polarization factor, no thermal factor.

a b c (Å): 5.8316 5.8316 5.8316
angles (deg): 90.00 90.00 90.00
Sites, in units of the cell vectors:
Rb 0.0000 0.0000 0.0000
Ca 0.0000 0.5000 0.5000
Ca 0.5000 0.0000 0.5000
Ca 0.5000 0.5000 0.0000

Principal peaks in the range 10 to 90 degrees two-theta, sorted by position:
- 2θ 15.19, intensity 11
- 2θ 26.47, intensity 100
- 2θ 30.66, intensity 51
- 2θ 43.91, intensity 35
- 2θ 52.01, intensity 42
- 2θ 54.51, intensity 12
- 2θ 70.37, intensity 16
- 2θ 72.49, intensity 15
- 2θ 80.73, intensity 11
- 2θ 86.77, intensity 12